PrTh2Te5: computed X-ray diffraction stick pattern (Cu Kα), based on a PBE-relaxed structure.
Peak positions follow from Bragg's law for the DFT cell and can differ from measured ones.

Structure:
```
data_PrTh2Te5
_chemical_formula_sum 'Pr4 Th8 Te20'
_symmetry_space_group_name_H-M 'I 4/m c m'
_symmetry_Int_Tables_number 140
_symmetry_space_group_name_Hall '-I 4 2c'
_cell_length_a 8.368
_cell_length_b 8.368
_cell_length_c 14.593
_cell_angle_alpha 90.00
_cell_angle_beta 90.00
_cell_angle_gamma 90.00
loop_
_atom_site_label
_atom_site_fract_x
_atom_site_fract_y
_atom_site_fract_z
_atom_site_occupancy
Pr1 0.000 0.000 0.250 1
Th1 0.148 0.352 0.000 1
Te1 0.000 0.000 0.000 1
Te2 0.158 0.342 0.352 1
```

Principal peaks in the range 15° ≤ 2θ ≤ 90°, low angle first:
| two_theta | d_spacing | I_rel | index |
| --- | --- | --- | --- |
| 30.14 | 2.966 | 100 | 2 1 3 |
| 33.88 | 2.646 | 43 | 3 1 0 |
| 36.96 | 2.432 | 9 | 0 0 6 |
| 39.15 | 2.301 | 15 | 2 1 5 |
| 48.63 | 1.872 | 18 | 4 2 0 |
| 51.00 | 1.791 | 8 | 3 1 6 |
| 61.77 | 1.502 | 10 | 3 1 8 |
| 62.78 | 1.480 | 21 | 5 2 3 |

***

Pr2TmThTe5: computed X-ray diffraction stick pattern (Cu Kα), based on a PBE-relaxed structure.
Peak positions follow from Bragg's law for the DFT cell and can differ from measured ones.

Structure:
```
data_Pr2TmThTe5
_chemical_formula_sum 'Pr2 Tm1 Th1 Te5'
_symmetry_space_group_name_H-M 'P 4/m m m'
_symmetry_Int_Tables_number 123
_symmetry_space_group_name_Hall '-P 4 2'
_cell_length_a 5.451
_cell_length_b 5.451
_cell_length_c 11.782
_cell_angle_alpha 90.00
_cell_angle_beta 90.00
_cell_angle_gamma 90.00
loop_
_atom_site_label
_atom_site_fract_x
_atom_site_fract_y
_atom_site_fract_z
_atom_site_occupancy
Pr1 0.000 0.000 0.162 1
Tm1 0.500 0.500 0.000 1
Th1 0.500 0.500 0.500 1
Te1 0.000 0.000 0.500 1
Te2 0.000 0.500 0.000 1
Te3 0.500 0.500 0.251 1
```

Principal peaks in the range 15° ≤ 2θ ≤ 90°, low angle first:
| two_theta | d_spacing | I_rel | index |
| --- | --- | --- | --- |
| 15.04 | 5.891 | 29 | 0 0 2 |
| 23.07 | 3.855 | 93 | 1 1 0 |
| 32.55 | 2.751 | 61 | 1 1 3 |
| 32.86 | 2.726 | 100 | 2 0 0 |
| 34.61 | 2.591 | 49 | 1 0 4 |
| 45.33 | 2.001 | 35 | 2 0 4 |
| 47.15 | 1.927 | 37 | 2 2 0 |
| 48.47 | 1.878 | 38 | 2 1 4 |

***

PrTiTe3: computed X-ray diffraction stick pattern (Cu Kα), based on a PBE-relaxed structure.
Peak positions follow from Bragg's law for the DFT cell and can differ from measured ones.

Structure:
```
data_PrTiTe3
_chemical_formula_sum 'Pr4 Ti4 Te12'
_symmetry_space_group_name_H-M 'C 1 2/m 1'
_symmetry_Int_Tables_number 12
_cell_length_a 15.852
_cell_length_b 4.106
_cell_length_c 9.136
_cell_angle_alpha 90.00
_cell_angle_beta 90.87
_cell_angle_gamma 90.00
loop_
_symmetry_equiv_pos_as_xyz
'x,y,z'
'-x,-y,-z'
'-x,y,-z'
'x,-y,z'
'x+1/2,y+1/2,z'
'-x+1/2,-y+1/2,-z'
'-x+1/2,y+1/2,-z'
'x+1/2,-y+1/2,z'
loop_
_atom_site_label
_atom_site_fract_x
_atom_site_fract_y
_atom_site_fract_z
_atom_site_occupancy
Pr1 0.104 0.000 0.400 1
Ti1 0.203 0.500 0.871 1
Te1 0.053 0.500 0.674 1
Te2 0.129 0.000 0.035 1
Te3 0.246 0.000 0.666 1
```

Principal peaks in the range 15° ≤ 2θ ≤ 90°, low angle first:
| two_theta | d_spacing | I_rel | index |
| --- | --- | --- | --- |
| 29.14 | 3.064 | 64 | 3 1 -1 |
| 29.32 | 3.046 | 100 | 0 0 3 |
| 29.74 | 3.004 | 48 | 1 1 -2 |
| 33.75 | 2.655 | 73 | 3 1 -2 |
| 34.06 | 2.632 | 33 | 3 1 2 |
| 35.52 | 2.527 | 42 | 6 0 1 |
| 40.84 | 2.210 | 41 | 3 1 3 |
| 44.11 | 2.053 | 39 | 0 2 0 |

***

Pr4TlTe3: computed X-ray diffraction stick pattern (Cu Kα), based on a PBE-relaxed structure.
Peak positions follow from Bragg's law for the DFT cell and can differ from measured ones.

Structure:
```
data_Pr4TlTe3
_chemical_formula_sum 'Pr8 Tl2 Te6'
_symmetry_space_group_name_H-M 'I 4/m m m'
_symmetry_Int_Tables_number 139
_symmetry_space_group_name_Hall '-I 4 2'
_cell_length_a 6.427
_cell_length_b 6.427
_cell_length_c 12.842
_cell_angle_alpha 90.00
_cell_angle_beta 90.00
_cell_angle_gamma 90.00
loop_
_atom_site_label
_atom_site_fract_x
_atom_site_fract_y
_atom_site_fract_z
_atom_site_occupancy
Pr1 0.000 0.000 0.249 1
Pr2 0.000 0.500 0.000 1
Tl1 0.000 0.000 0.000 1
Te1 0.000 0.000 0.500 1
Te2 0.000 0.500 0.250 1
```

Principal peaks in the range 15° ≤ 2θ ≤ 90°, low angle first:
| two_theta | d_spacing | I_rel | index |
| --- | --- | --- | --- |
| 15.42 | 5.748 | 2 | 1 0 1 |
| 27.77 | 3.213 | 100 | 2 0 0 |
| 39.68 | 2.272 | 77 | 2 2 0 |
| 49.12 | 1.855 | 28 | 2 2 4 |
| 57.36 | 1.606 | 13 | 4 0 0 |
| 64.90 | 1.437 | 36 | 4 2 0 |
| 72.00 | 1.312 | 26 | 4 2 4 |
| 85.49 | 1.136 | 9 | 4 4 0 |

***

Pr5Tl2Te2: computed X-ray diffraction stick pattern (Cu Kα), based on a PBE-relaxed structure.
Peak positions follow from Bragg's law for the DFT cell and can differ from measured ones.

Structure:
```
data_Pr5Tl2Te2
_chemical_formula_sum 'Pr20 Tl8 Te8'
_symmetry_space_group_name_H-M 'C m c e'
_symmetry_Int_Tables_number 64
_symmetry_space_group_name_Hall '-C 2ac 2'
_cell_length_a 16.192
_cell_length_b 8.457
_cell_length_c 8.442
_cell_angle_alpha 90.00
_cell_angle_beta 90.00
_cell_angle_gamma 90.00
loop_
_atom_site_label
_atom_site_fract_x
_atom_site_fract_y
_atom_site_fract_z
_atom_site_occupancy
Pr1 0.000 0.000 0.000 1
Pr2 0.140 0.171 0.336 1
Tl1 0.000 0.131 0.627 1
Te1 0.199 0.000 0.000 1
```

Principal peaks in the range 15° ≤ 2θ ≤ 90°, low angle first:
| two_theta | d_spacing | I_rel | index |
| --- | --- | --- | --- |
| 26.01 | 3.426 | 35 | 2 2 1 |
| 28.85 | 3.094 | 95 | 3 1 2 |
| 30.59 | 2.923 | 39 | 4 2 0 |
| 32.40 | 2.763 | 69 | 4 2 1 |
| 33.20 | 2.699 | 30 | 6 0 0 |
| 34.00 | 2.637 | 100 | 1 3 1 |
| 43.93 | 2.061 | 34 | 5 3 1 |
| 61.46 | 1.509 | 29 | 7 3 3 |

***

Pr10Tl3Te3: computed X-ray diffraction stick pattern (Cu Kα), based on a PBE-relaxed structure.
Peak positions follow from Bragg's law for the DFT cell and can differ from measured ones.

Structure:
```
data_Pr10Tl3Te3
_chemical_formula_sum 'Pr10 Tl3 Te3'
_symmetry_space_group_name_H-M 'P -6 2 m'
_symmetry_Int_Tables_number 189
_symmetry_space_group_name_Hall 'P -6 -2'
_cell_length_a 9.4481
_cell_length_b 9.4481
_cell_length_c 6.6626
_cell_angle_alpha 90.00
_cell_angle_beta 90.00
_cell_angle_gamma 120.00
loop_
_atom_site_label
_atom_site_fract_x
_atom_site_fract_y
_atom_site_fract_z
_atom_site_occupancy
Pr1 0.0000 0.2460 0.0000 1
Pr2 0.0000 0.7557 0.5000 1
Pr3 0.3333 0.6667 0.2472 1
Tl1 0.0000 0.3902 0.5000 1
Te1 0.0000 0.6158 0.0000 1
```

Principal peaks in the range 15° ≤ 2θ ≤ 90°, low angle first:
| two_theta | d_spacing | I_rel | index |
| --- | --- | --- | --- |
| 26.76 | 3.331 | 16 | 0 0 2 |
| 28.89 | 3.090 | 29 | 2 1 0 |
| 31.90 | 2.805 | 75 | 2 1 1 |
| 32.87 | 2.724 | 100 | 3 0 0 |
| 42.06 | 2.148 | 12 | 3 1 1 |
| 47.17 | 1.927 | 15 | 2 2 2 |
| 50.57 | 1.805 | 30 | 2 1 3 |
| 63.31 | 1.469 | 16 | 5 0 2 |

***

Pr3UTl3Te8: computed X-ray diffraction stick pattern (Cu Kα), based on a PBE-relaxed structure.
Peak positions follow from Bragg's law for the DFT cell and can differ from measured ones.

Structure:
```
data_Pr3UTl3Te8
_chemical_formula_sum 'Pr6 U2 Tl6 Te16'
_symmetry_space_group_name_H-M 'C 1 2/m 1'
_symmetry_Int_Tables_number 12
_cell_length_a 15.744
_cell_length_b 9.094
_cell_length_c 9.772
_cell_angle_alpha 90.00
_cell_angle_beta 122.51
_cell_angle_gamma 90.00
loop_
_symmetry_equiv_pos_as_xyz
'x,y,z'
'-x,-y,-z'
'-x,y,-z'
'x,-y,z'
'x+1/2,y+1/2,z'
'-x+1/2,-y+1/2,-z'
'-x+1/2,y+1/2,-z'
'x+1/2,-y+1/2,z'
loop_
_atom_site_label
_atom_site_fract_x
_atom_site_fract_y
_atom_site_fract_z
_atom_site_occupancy
Pr1 0.000 0.000 0.000 1
Pr2 0.250 0.250 0.000 1
U1 0.000 0.500 0.000 1
Tl1 0.000 0.500 0.500 1
Tl2 0.250 0.250 0.500 1
Te1 0.009 0.259 0.785 1
Te2 0.232 0.500 0.215 1
Te3 0.241 0.000 0.223 1
```

Principal peaks in the range 15° ≤ 2θ ≤ 90°, low angle first:
| two_theta | d_spacing | I_rel | index |
| --- | --- | --- | --- |
| 26.85 | 3.320 | 100 | 4 0 0 |
| 36.98 | 2.431 | 39 | 2 2 2 |
| 39.65 | 2.273 | 38 | 0 4 0 |
| 48.54 | 1.876 | 20 | 4 4 0 |
| 55.34 | 1.660 | 12 | 8 0 0 |
| 60.67 | 1.526 | 16 | 6 2 2 |
| 64.40 | 1.447 | 17 | 10 2 -2 |
| 70.20 | 1.341 | 12 | 8 4 0 |

***

PrTm3Te3: computed X-ray diffraction stick pattern (Cu Kα), based on a PBE-relaxed structure.
Peak positions follow from Bragg's law for the DFT cell and can differ from measured ones.

Structure:
```
data_PrTm3Te3
_chemical_formula_sum 'Pr6 Tm18 Te18'
_symmetry_space_group_name_H-M 'R -3'
_symmetry_Int_Tables_number 148
_symmetry_space_group_name_Hall '-R 3'
_cell_length_a 7.1748
_cell_length_b 7.1748
_cell_length_c 31.1768
_cell_angle_alpha 90.00
_cell_angle_beta 90.00
_cell_angle_gamma 120.00
loop_
_atom_site_label
_atom_site_fract_x
_atom_site_fract_y
_atom_site_fract_z
_atom_site_occupancy
Pr1 0.0000 0.0000 0.1671 1
Tm1 0.0039 0.3494 0.3770 1
Te1 0.0023 0.3158 0.5631 1
```

Principal peaks in the range 15° ≤ 2θ ≤ 90°, low angle first:
| two_theta | d_spacing | I_rel | index |
| --- | --- | --- | --- |
| 26.28 | 3.391 | 17 | 1 1 3 |
| 30.28 | 2.952 | 100 | 2 -1 6 |
| 36.04 | 2.492 | 21 | 1 1 9 |
| 42.98 | 2.104 | 22 | 1 1 12 |
| 43.70 | 2.071 | 35 | 3 0 0 |
| 54.09 | 1.696 | 19 | 2 2 6 |
| 63.40 | 1.467 | 14 | 3 0 15 |
| 71.97 | 1.312 | 15 | 5 -1 6 |

***

PrTm3Te6: computed X-ray diffraction stick pattern (Cu Kα), based on a PBE-relaxed structure.
Peak positions follow from Bragg's law for the DFT cell and can differ from measured ones.

Structure:
```
data_PrTm3Te6
_chemical_formula_sum 'Pr2 Tm6 Te12'
_symmetry_space_group_name_H-M 'P 1 21/m 1'
_symmetry_Int_Tables_number 11
_cell_length_a 12.439
_cell_length_b 4.371
_cell_length_c 12.770
_cell_angle_alpha 90.00
_cell_angle_beta 109.34
_cell_angle_gamma 90.00
loop_
_symmetry_equiv_pos_as_xyz
'x,y,z'
'-x,-y,-z'
'-x,y+1/2,-z'
'x,-y+1/2,z'
loop_
_atom_site_label
_atom_site_fract_x
_atom_site_fract_y
_atom_site_fract_z
_atom_site_occupancy
Pr1 0.048 0.250 0.199 1
Tm1 0.156 0.250 0.584 1
Tm2 0.318 0.750 0.999 1
Tm3 0.437 0.250 0.335 1
Te1 0.085 0.750 0.406 1
Te2 0.118 0.250 0.968 1
Te3 0.197 0.750 0.750 1
Te4 0.261 0.750 0.224 1
Te5 0.391 0.250 0.559 1
Te6 0.482 0.250 0.116 1
```

Principal peaks in the range 15° ≤ 2θ ≤ 90°, low angle first:
| two_theta | d_spacing | I_rel | index |
| --- | --- | --- | --- |
| 23.74 | 3.748 | 43 | 1 1 1 |
| 27.88 | 3.200 | 100 | 2 1 1 |
| 28.47 | 3.135 | 60 | 2 0 -4 |
| 30.67 | 2.915 | 73 | 3 1 0 |
| 37.28 | 2.412 | 37 | 0 0 5 |
| 37.55 | 2.395 | 72 | 4 1 -3 |
| 39.12 | 2.303 | 38 | 1 1 4 |
| 41.31 | 2.185 | 71 | 0 2 0 |

***

PrTmTe: computed X-ray diffraction stick pattern (Cu Kα), based on a PBE-relaxed structure.
Peak positions follow from Bragg's law for the DFT cell and can differ from measured ones.

Structure:
```
data_PrTmTe
_chemical_formula_sum 'Pr8 Tm8 Te8'
_symmetry_space_group_name_H-M 'C 1 2/m 1'
_symmetry_Int_Tables_number 12
_cell_length_a 17.158
_cell_length_b 3.949
_cell_length_c 11.242
_cell_angle_alpha 90.00
_cell_angle_beta 90.71
_cell_angle_gamma 90.00
loop_
_symmetry_equiv_pos_as_xyz
'x,y,z'
'-x,-y,-z'
'-x,y,-z'
'x,-y,z'
'x+1/2,y+1/2,z'
'-x+1/2,-y+1/2,-z'
'-x+1/2,y+1/2,-z'
'x+1/2,-y+1/2,z'
loop_
_atom_site_label
_atom_site_fract_x
_atom_site_fract_y
_atom_site_fract_z
_atom_site_occupancy
Pr1 0.033 0.000 0.349 1
Pr2 0.116 0.500 0.849 1
Tm1 0.197 0.000 0.097 1
Tm2 0.245 0.000 0.645 1
Te1 0.068 0.500 0.137 1
Te2 0.112 0.500 0.549 1
```

Principal peaks in the range 15° ≤ 2θ ≤ 90°, low angle first:
| two_theta | d_spacing | I_rel | index |
| --- | --- | --- | --- |
| 28.11 | 3.174 | 50 | 1 1 2 |
| 28.65 | 3.116 | 47 | 3 1 1 |
| 31.71 | 2.822 | 47 | 3 1 -2 |
| 31.88 | 2.807 | 100 | 0 0 4 |
| 32.21 | 2.779 | 23 | 6 0 -1 |
| 33.34 | 2.687 | 69 | 1 1 -3 |
| 34.63 | 2.590 | 61 | 5 1 0 |
| 45.96 | 1.975 | 31 | 0 2 0 |

***

Pr4TmTe5: computed X-ray diffraction stick pattern (Cu Kα), based on a PBE-relaxed structure.
Peak positions follow from Bragg's law for the DFT cell and can differ from measured ones.

Structure:
```
data_Pr4TmTe5
_chemical_formula_sum 'Pr8 Tm2 Te10'
_symmetry_space_group_name_H-M 'I 4/m m m'
_symmetry_Int_Tables_number 139
_symmetry_space_group_name_Hall '-I 4 2'
_cell_length_a 4.441
_cell_length_b 4.441
_cell_length_c 32.474
_cell_angle_alpha 90.00
_cell_angle_beta 90.00
_cell_angle_gamma 90.00
loop_
_atom_site_label
_atom_site_fract_x
_atom_site_fract_y
_atom_site_fract_z
_atom_site_occupancy
Pr1 0.000 0.000 0.106 1
Pr2 0.000 0.000 0.311 1
Tm1 0.000 0.000 0.500 1
Te1 0.000 0.000 0.000 1
Te2 0.000 0.000 0.207 1
Te3 0.000 0.000 0.408 1
```

Principal peaks in the range 15° ≤ 2θ ≤ 90°, low angle first:
| two_theta | d_spacing | I_rel | index |
| --- | --- | --- | --- |
| 27.47 | 3.247 | 44 | 0 0 10 |
| 28.42 | 3.140 | 100 | 1 1 0 |
| 39.94 | 2.257 | 65 | 1 1 10 |
| 40.63 | 2.221 | 38 | 2 0 0 |
| 49.74 | 1.833 | 34 | 2 0 10 |
| 66.10 | 1.414 | 14 | 2 2 10 |
| 66.59 | 1.404 | 18 | 3 1 0 |
| 73.46 | 1.289 | 21 | 3 1 10 |

***

Pr4TmTe7: computed X-ray diffraction stick pattern (Cu Kα), based on a PBE-relaxed structure.
Peak positions follow from Bragg's law for the DFT cell and can differ from measured ones.

Structure:
```
data_Pr4TmTe7
_chemical_formula_sum 'Pr8 Tm2 Te14'
_symmetry_space_group_name_H-M 'C 1 m 1'
_symmetry_Int_Tables_number 8
_cell_length_a 14.709
_cell_length_b 4.364
_cell_length_c 13.463
_cell_angle_alpha 90.00
_cell_angle_beta 104.76
_cell_angle_gamma 90.00
loop_
_symmetry_equiv_pos_as_xyz
'x,y,z'
'x,-y,z'
'x+1/2,y+1/2,z'
'x+1/2,-y+1/2,z'
loop_
_atom_site_label
_atom_site_fract_x
_atom_site_fract_y
_atom_site_fract_z
_atom_site_occupancy
Pr1 0.000 0.000 0.000 1
Pr2 0.086 0.500 0.379 1
Pr3 0.187 0.000 0.765 1
Pr4 0.386 0.500 0.568 1
Tm1 0.272 0.500 0.148 1
Te1 0.049 0.500 0.621 1
Te2 0.132 0.500 0.929 1
Te3 0.155 0.000 0.222 1
Te4 0.223 0.000 0.523 1
Te5 0.350 0.500 0.788 1
Te6 0.380 0.000 0.076 1
Te7 0.421 0.500 0.348 1
```

Principal peaks in the range 15° ≤ 2θ ≤ 90°, low angle first:
| two_theta | d_spacing | I_rel | index |
| --- | --- | --- | --- |
| 26.65 | 3.345 | 61 | 2 0 3 |
| 27.44 | 3.251 | 87 | 3 1 -1 |
| 27.79 | 3.211 | 49 | 3 1 0 |
| 28.80 | 3.100 | 100 | 3 1 -2 |
| 29.79 | 2.999 | 68 | 3 1 1 |
| 31.67 | 2.825 | 59 | 3 1 -3 |
| 36.25 | 2.478 | 51 | 1 1 4 |
| 41.38 | 2.182 | 64 | 0 2 0 |

***

Please write out number 2 again, unchanged.
Pr2TmThTe5: computed X-ray diffraction stick pattern (Cu Kα), based on a PBE-relaxed structure.
Peak positions follow from Bragg's law for the DFT cell and can differ from measured ones.

Structure:
```
data_Pr2TmThTe5
_chemical_formula_sum 'Pr2 Tm1 Th1 Te5'
_symmetry_space_group_name_H-M 'P 4/m m m'
_symmetry_Int_Tables_number 123
_symmetry_space_group_name_Hall '-P 4 2'
_cell_length_a 5.451
_cell_length_b 5.451
_cell_length_c 11.782
_cell_angle_alpha 90.00
_cell_angle_beta 90.00
_cell_angle_gamma 90.00
loop_
_atom_site_label
_atom_site_fract_x
_atom_site_fract_y
_atom_site_fract_z
_atom_site_occupancy
Pr1 0.000 0.000 0.162 1
Tm1 0.500 0.500 0.000 1
Th1 0.500 0.500 0.500 1
Te1 0.000 0.000 0.500 1
Te2 0.000 0.500 0.000 1
Te3 0.500 0.500 0.251 1
```

Principal peaks in the range 15° ≤ 2θ ≤ 90°, low angle first:
| two_theta | d_spacing | I_rel | index |
| --- | --- | --- | --- |
| 15.04 | 5.891 | 29 | 0 0 2 |
| 23.07 | 3.855 | 93 | 1 1 0 |
| 32.55 | 2.751 | 61 | 1 1 3 |
| 32.86 | 2.726 | 100 | 2 0 0 |
| 34.61 | 2.591 | 49 | 1 0 4 |
| 45.33 | 2.001 | 35 | 2 0 4 |
| 47.15 | 1.927 | 37 | 2 2 0 |
| 48.47 | 1.878 | 38 | 2 1 4 |